# 1
Structure and calculated powder diffraction line list of Na6NbAs4 (the GGA-PBE geometry in Alexandria; Cu Kα, 1.54184 Å).

Cell lengths 9.5935, 9.5935, 7.3069 Å; angles 90.00, 90.00, 120.00 degrees
Space group P6_3mc (No. 186)
One atom of each set of equivalent atoms:
Na  0.0602  0.5301  0.0000
Na  0.1463  0.2926  0.3183
Nb  0.3333  0.6667  0.6190
As  0.1899  0.3798  0.7195
As  0.3333  0.6667  0.2797

The 10 most intense peaks (5 to 70 degrees two-theta), sorted by position:
2theta  I (rel.)  h k l
10.65  79.2  1 0 0
16.15  85.5  1 0 1
21.39  57.2  2 0 0
24.36  37.7  0 0 2
24.65  53.8  2 0 1
31.00  50.0  2 1 1
32.64  71.2  2 0 2
34.64  33.1  3 0 1
37.50  100.0  2 2 0
43.05  46.8  2 0 3

---

# 2
Structure and calculated powder diffraction line list of K2PuInBr8 (the GGA-PBE geometry in Alexandria; Cu Kα, 1.54184 Å).

Cell lengths 7.1119, 8.7949, 7.3756 Å; angles 90.00, 93.59, 90.00 degrees
Space group P2/m (No. 10)
One atom of each set of equivalent atoms:
K  0.0000  0.2438  0.0000
Pu  0.5000  0.5000  0.5000
In  0.5000  0.0000  0.5000
Br  0.2771  0.5000  0.1715
Br  0.2788  0.2398  0.6252
Br  0.3011  0.0000  0.1887

The 10 most intense peaks (5 to 70 degrees two-theta), sorted by position:
2theta  I (rel.)  h k l
12.02  75.5  0 0 1
12.47  89.9  1 0 0
16.80  73.3  1 0 -1
17.89  37.0  1 0 1
23.80  52.8  1 2 0
26.38  99.9  1 2 -1
28.00  52.4  1 0 2
34.11  100.0  2 2 -1
41.05  35.1  0 4 0
42.17  54.8  0 2 3

---

# 3
Structure and calculated powder diffraction line list of RbPmPdF6 (the GGA-PBE geometry in Alexandria; Cu Kα, 1.54184 Å).

Cell lengths 8.0163, 8.4997, 11.6107 Å; angles 90.00, 90.00, 90.00 degrees
Space group Imma (No. 74)
One atom of each set of equivalent atoms:
Rb  0.0000  0.2500  0.0480
Pm  0.0000  0.0000  0.5000
Pd  0.2500  0.2500  0.7500
F  0.0000  0.2500  0.4266
F  0.0000  0.2500  0.8179
F  0.2147  0.0660  0.6162

The 10 most intense peaks (5 to 70 degrees two-theta), sorted by position:
2theta  I (rel.)  h k l
12.91  59.8  0 1 1
13.42  30.6  1 0 1
24.92  100.0  1 2 1
25.29  28.7  0 1 3
25.74  37.2  2 1 1
25.98  31.4  0 2 2
27.03  78.5  2 0 2
44.02  31.7  2 2 4
46.47  28.4  2 1 5
51.13  28.2  2 4 2

---

# 4
Structure and calculated powder diffraction line list of K3Tb3NpTe8 (the GGA-PBE geometry in Alexandria; Cu Kα, 1.54184 Å).

Cell lengths 8.9301, 8.9301, 25.1289 Å; angles 90.00, 90.00, 120.00 degrees
Space group R-3m (No. 166, hexagonal axes)
One atom of each set of equivalent atoms:
K  0.0000  0.5000  0.0000
Tb  0.0000  0.5000  0.5000
Np  0.0000  0.0000  0.5000
Te  0.0000  0.0000  0.2364
Te  0.0016  0.5008  0.2353

The 10 most intense peaks (5 to 70 degrees two-theta), sorted by position:
2theta  I (rel.)  h k l
10.56  64.5  0 0 3
27.08  100.0  0 2 4
34.08  24.3  0 2 7
36.87  35.2  2 0 8
40.40  36.6  2 2 0
41.88  14.7  2 2 3
46.15  15.4  2 0 11
49.31  19.1  4 0 4
60.63  11.0  2 2 12
65.58  16.1  2 4 4

---

Repeat the third record exactly.
Structure and calculated powder diffraction line list of RbPmPdF6 (the GGA-PBE geometry in Alexandria; Cu Kα, 1.54184 Å).

Cell lengths 8.0163, 8.4997, 11.6107 Å; angles 90.00, 90.00, 90.00 degrees
Space group Imma (No. 74)
One atom of each set of equivalent atoms:
Rb  0.0000  0.2500  0.0480
Pm  0.0000  0.0000  0.5000
Pd  0.2500  0.2500  0.7500
F  0.0000  0.2500  0.4266
F  0.0000  0.2500  0.8179
F  0.2147  0.0660  0.6162

The 10 most intense peaks (5 to 70 degrees two-theta), sorted by position:
2theta  I (rel.)  h k l
12.91  59.8  0 1 1
13.42  30.6  1 0 1
24.92  100.0  1 2 1
25.29  28.7  0 1 3
25.74  37.2  2 1 1
25.98  31.4  0 2 2
27.03  78.5  2 0 2
44.02  31.7  2 2 4
46.47  28.4  2 1 5
51.13  28.2  2 4 2

---

What did the first record say?
Structure and calculated powder diffraction line list of Na6NbAs4 (the GGA-PBE geometry in Alexandria; Cu Kα, 1.54184 Å).

Cell lengths 9.5935, 9.5935, 7.3069 Å; angles 90.00, 90.00, 120.00 degrees
Space group P6_3mc (No. 186)
One atom of each set of equivalent atoms:
Na  0.0602  0.5301  0.0000
Na  0.1463  0.2926  0.3183
Nb  0.3333  0.6667  0.6190
As  0.1899  0.3798  0.7195
As  0.3333  0.6667  0.2797

The 10 most intense peaks (5 to 70 degrees two-theta), sorted by position:
2theta  I (rel.)  h k l
10.65  79.2  1 0 0
16.15  85.5  1 0 1
21.39  57.2  2 0 0
24.36  37.7  0 0 2
24.65  53.8  2 0 1
31.00  50.0  2 1 1
32.64  71.2  2 0 2
34.64  33.1  3 0 1
37.50  100.0  2 2 0
43.05  46.8  2 0 3